Structure and calculated XRD peak list of Si5Rh4 (a crystal structure in Alexandria, relaxed with PBE; Cu Kα X-rays).

Atomic structure:
a b c (Å): 5.981 3.549 12.422
angles (deg): 90.00 100.02 90.00
Positions (direct):
Si1 0.012 0.250 0.077
Si2 0.034 0.250 0.776
Si3 0.138 0.750 0.636
Si4 0.394 0.750 0.423
Si5 0.479 0.250 0.139
Si6 0.521 0.750 0.861
Si7 0.606 0.250 0.577
Si8 0.862 0.250 0.364
Si9 0.966 0.750 0.224
Si10 0.988 0.750 0.923
Rh1 0.200 0.250 0.500
Rh2 0.214 0.250 0.270
Rh3 0.292 0.250 0.950
Rh4 0.393 0.250 0.727
Rh5 0.607 0.750 0.273
Rh6 0.708 0.750 0.050
Rh7 0.786 0.750 0.730
Rh8 0.800 0.750 0.500

Main lines, sorted by position (10° ≤ 2θ ≤ 80°):
- 24.29 deg, intensity 14.6
- 29.20 deg, intensity 30.3
- 29.38 deg, intensity 100.0
- 39.90 deg, intensity 12.4
- 41.48 deg, intensity 12.6
- 42.99 deg, intensity 43.6
- 43.83 deg, intensity 62.5
- 44.45 deg, intensity 16.1
- 45.46 deg, intensity 32.3
- 46.38 deg, intensity 14.6
- 47.79 deg, intensity 16.1
- 51.51 deg, intensity 27.3



Structure and calculated XRD peak list of Cs2ThSe3 (a crystal structure in Alexandria, relaxed with PBE; Cu Kα X-rays).

Atomic structure:
a b c (Å): 7.994 7.994 8.862
angles (deg): 98.91 98.91 119.84
Positions (direct):
Cs1 0.000 0.000 0.000
Cs2 0.151 0.849 0.500
Cs3 0.500 0.500 0.500
Cs4 0.849 0.151 0.500
Th1 0.332 0.668 0.000
Th2 0.668 0.332 0.000
Se1 0.068 0.460 0.197
Se2 0.324 0.324 0.809
Se3 0.460 0.068 0.197
Se4 0.540 0.932 0.803
Se5 0.676 0.676 0.191
Se6 0.932 0.540 0.803

Main lines, sorted by position (10° ≤ 2θ ≤ 80°):
- 10.50 deg, intensity 27.0
- 21.08 deg, intensity 17.1
- 23.32 deg, intensity 34.2
- 26.24 deg, intensity 51.5
- 26.43 deg, intensity 100.0
- 33.51 deg, intensity 10.8
- 36.16 deg, intensity 36.2
- 36.34 deg, intensity 18.6
- 39.00 deg, intensity 47.4
- 44.83 deg, intensity 13.5
- 47.69 deg, intensity 24.2
- 63.35 deg, intensity 13.1